Theoretical powder X-ray diffraction pattern
Compound: Ac2La12Zn7
Radiation: CuKα
Structure: a crystal structure in Alexandria, relaxed with PBE
Kinematic intensities with the Lorentz-polarization factor, no thermal factor.

Most intense lines, 5° ≤ 2θ ≤ 70°, in order of falling intensity:
(2 1 1), 28.5°, intensity 100
(1 4 0), 38.2°, intensity 24
(0 0 2), 36.6°, intensity 20
(1 4 2), 54.0°, intensity 18
(1 3 1), 35.1°, intensity 13
(2 1 3), 61.0°, intensity 13
(4 0 0), 33.2°, intensity 9
(4 2 1), 48.3°, intensity 9
(3 0 1), 30.8°, intensity 8
(2 2 0), 28.7°, intensity 7
(3 2 1), 40.8°, intensity 6
(6 1 1), 59.2°, intensity 6

Cell and atoms:
Unit cell a=12.455 b=12.455 c=4.912 alpha=90.00 beta=90.00 gamma=120.00
Sites, in units of the cell vectors:
Ac: 0.000 0.000 0.000
Ac: 0.333 0.667 0.500
La: 0.065 0.276 0.500
La: 0.108 0.698 0.000
La: 0.211 0.935 0.500
La: 0.302 0.410 0.000
La: 0.390 0.170 0.000
La: 0.543 0.432 0.500
La: 0.568 0.111 0.500
La: 0.590 0.892 0.000
La: 0.724 0.789 0.500
La: 0.780 0.610 0.000
La: 0.830 0.220 0.000
La: 0.889 0.457 0.500
Zn: 0.086 0.452 0.000
Zn: 0.259 0.205 0.500
Zn: 0.366 0.914 0.000
Zn: 0.548 0.634 0.000
Zn: 0.667 0.333 0.000
Zn: 0.795 0.054 0.500
Zn: 0.946 0.741 0.500